1.
Computed PXRD pattern
Compound: SiBAuC
Radiation: Cu Kα
Structure: a cell relaxed with GGA-PBE
Intensities are scaled so that the largest is 100.

Principal peaks in the range 15° ≤ 2θ ≤ 90°, low angle first:
- (0 0 2), 2θ 29.02, I 45.1
- (1 0 0), 2θ 33.69, I 93.4
- (1 0 1), 2θ 36.81, I 100.0
- (0 1 2), 2θ 45.05, I 80.4
- (0 1 3), 2θ 56.67, I 38.0
- (1 1 0), 2θ 60.25, I 21.7
- (1 1 1), 2θ 62.30, I 19.3
- (1 1 2), 2θ 68.25, I 24.1
- (2 0 0), 2θ 70.79, I 27.1
- (1 0 5), 2θ 87.33, I 26.2

Cell and atoms:
```
SiBAuC
1.0
3.0719 0.0000 0.0000
-1.5360 2.6604 0.0000
0.0000 0.0000 6.1532
Si B Au C
1 1 1 1
Direct
0.0000 0.0000 0.0000
0.3333 0.6667 0.3562
0.0000 0.0000 0.5825
0.3333 0.6667 0.1109
```

2.
Computed PXRD pattern
Compound: CaBAu3
Radiation: Cu Kα
Structure: a cell relaxed with GGA-PBE
Intensities are scaled so that the largest is 100.

Principal peaks in the range 15° ≤ 2θ ≤ 90°, low angle first:
- (1 0 0), 2θ 19.65, I 19.8
- (1 1 0), 2θ 27.92, I 13.7
- (1 1 1), 2θ 34.37, I 100.0
- (2 0 0), 2θ 39.90, I 52.6
- (2 1 0), 2θ 44.85, I 9.9
- (2 1 1), 2θ 49.40, I 6.4
- (2 2 0), 2θ 57.70, I 35.8
- (3 1 1), 2θ 68.92, I 40.7
- (2 2 2), 2θ 72.45, I 12.3
- (4 0 0), 2θ 86.06, I 6.1

Cell and atoms:
```
CaBAu3
1.0
4.5188 0.0000 0.0000
0.0000 4.5188 0.0000
0.0000 0.0000 4.5188
Ca B Au
1 1 3
Direct
0.0000 0.0000 0.0000
0.5000 0.5000 0.5000
0.0000 0.5000 0.5000
0.5000 0.0000 0.5000
0.5000 0.5000 0.0000
```

3.
Computed PXRD pattern
Compound: ReBAuCl
Radiation: Cu Kα
Structure: a cell relaxed with GGA-PBE
Intensities are scaled so that the largest is 100.

Principal peaks in the range 15° ≤ 2θ ≤ 90°, low angle first:
- (0 0 2), 2θ 22.50, I 25.6
- (0 1 0), 2θ 29.24, I 100.0
- (1 0 -1), 2θ 32.99, I 78.1
- (0 0 3), 2θ 34.03, I 55.4
- (1 0 2), 2θ 38.58, I 79.3
- (-1 1 1), 2θ 44.58, I 34.6
- (1 1 -1), 2θ 44.73, I 38.1
- (0 1 -3), 2θ 45.70, I 25.4
- (1 1 2), 2θ 48.99, I 43.7
- (1 -1 2), 2θ 49.28, I 40.5

Cell and atoms:
```
ReBAuCl
1.0
2.8912 0.0000 0.0000
0.0001 3.0541 0.0000
0.0098 0.0770 7.9046
Re B Au Cl
1 1 1 1
Direct
0.0000 0.0000 0.0000
0.4996 0.4978 0.0877
0.4992 0.9906 0.3208
0.5009 0.0063 0.7572
```